Entry 1:
# Fe2Co5
Calculated XRD peak list, λ = 1.5418 Å (Cu Kα). Input: a DFT-relaxed cell (PBE, Alexandria).
Kinematic intensities with the Lorentz-polarization factor, no thermal factor.

Structure:
a b c (Å): 2.8109 2.8109 19.9558
angles (deg): 90.00 90.00 90.00
Space group I4/mmm (No. 139)
Unique sites:
Fe 0.0000 0.0000 0.2127 [4 per cell]
Co 0.0000 0.0000 0.0698 [4 per cell]
Co 0.0000 0.0000 0.3576 [4 per cell]
Co 0.0000 0.0000 0.5000 [2 per cell]

Largest 6 diffraction maxima, in order of rising 2θ, 10 to 90 degrees two-theta:
h k l  2theta  d_spacing  I (rel.)
1 0 7  45.3  2.002  100.0
1 1 0  45.6  1.988  49.0
0 0 14  65.5  1.425  7.5
2 0 0  66.5  1.405  14.4
1 1 14  83.4  1.158  14.4
2 1 7  84.2  1.150  28.3

***

Entry 2:
# Ac4NiSe2Br
Calculated XRD peak list, λ = 1.5418 Å (Cu Kα). Input: a DFT-relaxed cell (PBE, Alexandria).
Kinematic intensities with the Lorentz-polarization factor, no thermal factor.

Structure:
a b c (Å): 7.8891 4.2839 7.8917
angles (deg): 90.00 108.21 90.00
Space group P2/m (No. 10)
Unique sites:
Ac 0.2270 0.0000 0.2201 [2 per cell]
Ac 0.2569 0.5000 0.7647 [2 per cell]
Ni 0.0000 0.5000 0.0000 [1 per cell]
Se 0.5000 0.0000 0.0000 [1 per cell]
Se 0.5000 0.5000 0.5000 [1 per cell]
Br 0.0000 0.0000 0.5000 [1 per cell]

Largest 8 diffraction maxima, in order of rising 2θ, 10 to 90 degrees two-theta:
h k l  2theta  d_spacing  I (rel.)
2 0 0  23.7  3.748  33.2
1 1 -1  25.0  3.559  32.4
2 0 -2  27.9  3.196  54.4
1 1 1  28.4  3.143  100.0
2 0 2  38.9  2.313  18.7
3 1 -1  40.2  2.241  78.8
4 0 0  48.6  1.874  19.9
2 2 -2  51.4  1.779  20.6

***

Entry 3:
# PmPuPbO6
Calculated XRD peak list, λ = 1.5418 Å (Cu Kα). Input: a DFT-relaxed cell (PBE, Alexandria).
Kinematic intensities with the Lorentz-polarization factor, no thermal factor.

Structure:
a b c (Å): 5.9586 5.9586 9.9365
angles (deg): 90.00 90.00 120.00
Space group P-31c (No. 163)
Unique sites:
Pm 0.3333 0.6667 0.2500 [2 per cell]
Pu 0.3333 0.6667 0.7500 [2 per cell]
Pb 0.0000 0.0000 0.0000 [2 per cell]
O 0.0417 0.3866 0.6405 [12 per cell]

Largest 8 diffraction maxima, in order of rising 2θ, 10 to 90 degrees two-theta:
h k l  2theta  d_spacing  I (rel.)
1 0 2  24.9  3.579  100.0
1 1 0  30.0  2.979  57.7
2 0 2  39.3  2.290  29.8
1 1 4  47.7  1.908  44.1
2 1 2  50.3  1.816  30.5
3 0 0  53.3  1.720  17.2
3 0 4  66.1  1.414  12.5
4 -1 2  68.2  1.375  12.7

***

Entry 4:
# LaTb2Te3
Calculated XRD peak list, λ = 1.5418 Å (Cu Kα). Input: a DFT-relaxed cell (PBE, Alexandria).
Kinematic intensities with the Lorentz-polarization factor, no thermal factor.

Structure:
a b c (Å): 4.4365 6.2868 13.3502
angles (deg): 90.00 90.00 90.00
Space group Immm (No. 71)
Unique sites:
La 0.0000 0.0000 0.0000 [2 per cell]
Tb 0.0000 0.0000 0.3402 [4 per cell]
Te 0.0000 0.5000 0.0000 [2 per cell]
Te 0.0000 0.5000 0.3233 [4 per cell]

Largest 8 diffraction maxima, in order of rising 2θ, 10 to 90 degrees two-theta:
h k l  2theta  d_spacing  I (rel.)
0 2 0  28.4  3.142  100.0
1 2 3  40.6  2.223  62.6
2 0 0  40.7  2.218  12.8
0 2 6  50.2  1.816  13.0
2 2 0  50.3  1.812  13.8
1 4 3  66.5  1.406  16.8
3 0 3  66.6  1.405  16.9
2 4 0  73.9  1.282  12.9

***

Entry 5:
# BiAsC
Calculated XRD peak list, λ = 1.5418 Å (Cu Kα). Input: a DFT-relaxed cell (PBE, Alexandria).
Kinematic intensities with the Lorentz-polarization factor, no thermal factor.

Structure:
a b c (Å): 8.7527 6.2837 6.9509
angles (deg): 90.00 115.86 90.00
Space group C2 (No. 5)
Unique sites:
Bi 0.1871 0.0000 0.1565 [4 per cell]
As 0.2166 0.5472 0.1792 [4 per cell]
C 0.0673 0.0530 0.5835 [4 per cell]

Largest 8 diffraction maxima, in order of rising 2θ, 10 to 90 degrees two-theta:
h k l  2theta  d_spacing  I (rel.)
0 0 1  14.2  6.255  100.0
1 1 -1  19.7  4.504  72.2
2 0 0  22.6  3.938  81.3
2 0 -2  27.6  3.229  85.1
0 2 0  28.4  3.142  86.7
2 0 1  31.7  2.823  56.4
2 2 -2  40.0  2.252  58.8
2 2 1  43.1  2.100  46.2

***

Entry 6:
# LaZn2Ag6
Calculated XRD peak list, λ = 1.5418 Å (Cu Kα). Input: a DFT-relaxed cell (PBE, Alexandria).
Kinematic intensities with the Lorentz-polarization factor, no thermal factor.

Structure:
a b c (Å): 4.2842 4.2842 9.6671
angles (deg): 90.00 90.00 90.00
Space group P4/mmm (No. 123)
Unique sites:
La 0.0000 0.0000 0.0000 [1 per cell]
Zn 0.5000 0.5000 0.1312 [2 per cell]
Ag 0.0000 0.0000 0.5000 [1 per cell]
Ag 0.0000 0.5000 0.2929 [4 per cell]
Ag 0.5000 0.5000 0.5000 [1 per cell]

Largest 8 diffraction maxima, in order of rising 2θ, 10 to 90 degrees two-theta:
h k l  2theta  d_spacing  I (rel.)
1 0 3  34.8  2.575  11.5
1 1 2  35.0  2.567  100.0
1 1 3  40.9  2.207  32.6
2 0 0  42.2  2.142  49.1
2 2 0  61.2  1.515  15.5
2 0 5  65.0  1.435  10.1
3 1 2  72.4  1.305  23.4
3 1 3  76.2  1.249  9.4

***

Entry 7:
# BaTb4CeS8
Calculated XRD peak list, λ = 1.5418 Å (Cu Kα). Input: a DFT-relaxed cell (PBE, Alexandria).
Kinematic intensities with the Lorentz-polarization factor, no thermal factor.

Structure:
a b c (Å): 8.2827 8.2827 20.5727
angles (deg): 90.00 90.00 120.00
Space group R3m (No. 160, hexagonal axes)
Unique sites:
Ba 0.0000 0.0000 0.0000 [3 per cell]
Tb 0.0000 0.0000 0.2506 [3 per cell]
Tb 0.1686 0.3372 0.4585 [9 per cell]
Ce 0.0000 0.0000 0.6261 [3 per cell]
S 0.0000 0.0000 0.3825 [3 per cell]
S 0.0000 0.0000 0.8580 [3 per cell]
S 0.0446 0.5223 0.3841 [9 per cell]
S 0.1732 0.3463 0.2038 [9 per cell]

Largest 8 diffraction maxima, in order of rising 2θ, 10 to 90 degrees two-theta:
h k l  2theta  d_spacing  I (rel.)
1 0 4  21.3  4.180  19.7
0 1 5  24.9  3.569  31.7
0 2 1  25.2  3.541  100.0
0 2 4  30.4  2.942  27.1
1 2 5  39.8  2.264  24.0
0 3 3  39.9  2.258  19.5
2 0 8  43.3  2.090  38.9
2 2 0  43.7  2.071  38.4

***

Entry 8:
# CsRhF5
Calculated XRD peak list, λ = 1.5418 Å (Cu Kα). Input: a DFT-relaxed cell (PBE, Alexandria).
Kinematic intensities with the Lorentz-polarization factor, no thermal factor.

Structure:
a b c (Å): 11.5475 8.4311 7.7584
angles (deg): 90.00 132.08 90.00
Space group C2/c (No. 15)
Unique sites:
Cs 0.0000 0.0333 0.2500 [4 per cell]
Rh 0.0000 0.5000 0.0000 [4 per cell]
F 0.0000 0.4260 0.2500 [4 per cell]
F 0.0033 0.2768 0.9511 [8 per cell]
F 0.2247 0.4969 0.7248 [8 per cell]

Largest 8 diffraction maxima, in order of rising 2θ, 10 to 90 degrees two-theta:
h k l  2theta  d_spacing  I (rel.)
2 0 0  20.7  4.285  65.1
0 2 0  21.1  4.216  53.5
3 1 -2  27.4  3.259  100.0
2 2 0  29.7  3.005  20.0
1 1 2  40.7  2.219  27.3
3 3 -2  41.0  2.200  25.5
4 0 0  42.2  2.143  18.2
4 2 0  47.6  1.910  11.1

***

What did the first record say?
# Fe2Co5
Calculated XRD peak list, λ = 1.5418 Å (Cu Kα). Input: a DFT-relaxed cell (PBE, Alexandria).
Kinematic intensities with the Lorentz-polarization factor, no thermal factor.

Structure:
a b c (Å): 2.8109 2.8109 19.9558
angles (deg): 90.00 90.00 90.00
Space group I4/mmm (No. 139)
Unique sites:
Fe 0.0000 0.0000 0.2127 [4 per cell]
Co 0.0000 0.0000 0.0698 [4 per cell]
Co 0.0000 0.0000 0.3576 [4 per cell]
Co 0.0000 0.0000 0.5000 [2 per cell]

Largest 6 diffraction maxima, in order of rising 2θ, 10 to 90 degrees two-theta:
h k l  2theta  d_spacing  I (rel.)
1 0 7  45.3  2.002  100.0
1 1 0  45.6  1.988  49.0
0 0 14  65.5  1.425  7.5
2 0 0  66.5  1.405  14.4
1 1 14  83.4  1.158  14.4
2 1 7  84.2  1.150  28.3

***

What is the formula in the seventh record? BaTb4CeS8

***

What is the formula in the fourth record? LaTb2Te3